1.
# FeNiIr4
Calculated XRD peak list, Cu Kα. Input: a crystal structure in Alexandria, relaxed with GGA-PBE.
Lines closer than 0.1° are merged.

Top 8 peaks for 2θ = 5–70°, low angle first:
12.9°, rel. 24.9; 39.9°, rel. 41.8; 40.7°, rel. 21.4; 41.3°, rel. 51.9; 43.9°, rel. 100.0; 44.7°, rel. 42.2; 50.0°, rel. 21.9; 69.1°, rel. 13.7

Crystal structure
```
data_FeNiIr4
_chemical_formula_sum 'Fe2 Ni2 Ir8'
_symmetry_space_group_name_H-M 'P 1'
_symmetry_Int_Tables_number 1
_cell_length_a 7.005
_cell_length_b 7.005
_cell_length_c 8.744
_cell_angle_alpha 90.00
_cell_angle_beta 90.00
_cell_angle_gamma 157.62
loop_
_symmetry_equiv_pos_as_xyz
'x,y,z'
loop_
_atom_site_label
_atom_site_type_symbol
_atom_site_fract_x
_atom_site_fract_y
_atom_site_fract_z
Fe1 Fe 0.170 0.830 0.500
Fe2 Fe 0.830 0.170 0.000
Ni1 Ni 0.279 0.721 0.249
Ni2 Ni 0.721 0.279 0.749
Ir1 Ir 0.058 0.942 0.748
Ir2 Ir 0.171 0.829 0.999
Ir3 Ir 0.383 0.617 0.749
Ir4 Ir 0.494 0.506 0.998
Ir5 Ir 0.506 0.494 0.498
Ir6 Ir 0.617 0.383 0.249
Ir7 Ir 0.829 0.171 0.499
Ir8 Ir 0.942 0.058 0.248
```

=====

2.
# Fe2Ni3Ir2
Calculated XRD peak list, Cu Kα. Input: a crystal structure in Alexandria, relaxed with GGA-PBE.
Lines closer than 0.1° are merged.

Top 8 peaks for 2θ = 5–70°, low angle first:
15.6°, rel. 48.6; 26.7°, rel. 20.2; 31.8°, rel. 27.3; 42.5°, rel. 100.0; 42.9°, rel. 96.3; 49.0°, rel. 32.7; 50.0°, rel. 31.0; 50.3°, rel. 29.8

Crystal structure
```
data_Fe2Ni3Ir2
_chemical_formula_sum 'Fe4 Ni6 Ir4'
_symmetry_space_group_name_H-M 'P 1'
_symmetry_Int_Tables_number 1
_cell_length_a 8.320
_cell_length_b 3.651
_cell_length_c 5.724
_cell_angle_alpha 90.00
_cell_angle_beta 97.65
_cell_angle_gamma 90.00
loop_
_symmetry_equiv_pos_as_xyz
'x,y,z'
loop_
_atom_site_label
_atom_site_type_symbol
_atom_site_fract_x
_atom_site_fract_y
_atom_site_fract_z
Fe1 Fe 0.074 0.000 0.225
Fe2 Fe 0.426 0.500 0.775
Fe3 Fe 0.574 0.500 0.225
Fe4 Fe 0.926 0.000 0.775
Ni1 Ni 0.000 0.500 0.500
Ni2 Ni 0.214 0.000 0.633
Ni3 Ni 0.286 0.500 0.367
Ni4 Ni 0.500 0.000 0.500
Ni5 Ni 0.714 0.500 0.633
Ni6 Ni 0.786 0.000 0.367
Ir1 Ir 0.141 0.500 0.922
Ir2 Ir 0.359 0.000 0.078
Ir3 Ir 0.641 0.000 0.922
Ir4 Ir 0.859 0.500 0.078
```

=====

3.
# FeNi3Ir6
Calculated XRD peak list, Cu Kα. Input: a crystal structure in Alexandria, relaxed with GGA-PBE.
Lines closer than 0.1° are merged.

Top 8 peaks for 2θ = 5–70°, low angle first:
37.7°, rel. 43.7; 40.3°, rel. 84.1; 41.8°, rel. 100.0; 42.5°, rel. 73.0; 43.6°, rel. 72.4; 44.2°, rel. 49.9; 45.0°, rel. 62.1; 49.9°, rel. 51.6

Crystal structure
```
data_FeNi3Ir6
_chemical_formula_sum 'Fe2 Ni6 Ir12'
_symmetry_space_group_name_H-M 'P 1'
_symmetry_Int_Tables_number 1
_cell_length_a 9.667
_cell_length_b 2.689
_cell_length_c 10.592
_cell_angle_alpha 90.00
_cell_angle_beta 101.19
_cell_angle_gamma 90.00
loop_
_symmetry_equiv_pos_as_xyz
'x,y,z'
loop_
_atom_site_label
_atom_site_type_symbol
_atom_site_fract_x
_atom_site_fract_y
_atom_site_fract_z
Fe1 Fe 0.039 0.250 0.219
Fe2 Fe 0.961 0.750 0.781
Ni1 Ni 0.072 0.250 0.594
Ni2 Ni 0.371 0.750 0.996
Ni3 Ni 0.417 0.250 0.403
Ni4 Ni 0.583 0.750 0.597
Ni5 Ni 0.629 0.250 0.004
Ni6 Ni 0.928 0.750 0.406
Ir1 Ir 0.121 0.250 0.984
Ir2 Ir 0.189 0.750 0.423
Ir3 Ir 0.218 0.750 0.782
Ir4 Ir 0.264 0.750 0.197
Ir5 Ir 0.345 0.250 0.620
Ir6 Ir 0.498 0.250 0.187
Ir7 Ir 0.502 0.750 0.813
Ir8 Ir 0.655 0.750 0.380
Ir9 Ir 0.736 0.250 0.803
Ir10 Ir 0.782 0.250 0.218
Ir11 Ir 0.811 0.250 0.577
Ir12 Ir 0.879 0.750 0.016
```

=====

Repeat the first record exactly.
# FeNiIr4
Calculated XRD peak list, Cu Kα. Input: a crystal structure in Alexandria, relaxed with GGA-PBE.
Lines closer than 0.1° are merged.

Top 8 peaks for 2θ = 5–70°, low angle first:
12.9°, rel. 24.9; 39.9°, rel. 41.8; 40.7°, rel. 21.4; 41.3°, rel. 51.9; 43.9°, rel. 100.0; 44.7°, rel. 42.2; 50.0°, rel. 21.9; 69.1°, rel. 13.7

Crystal structure
```
data_FeNiIr4
_chemical_formula_sum 'Fe2 Ni2 Ir8'
_symmetry_space_group_name_H-M 'P 1'
_symmetry_Int_Tables_number 1
_cell_length_a 7.005
_cell_length_b 7.005
_cell_length_c 8.744
_cell_angle_alpha 90.00
_cell_angle_beta 90.00
_cell_angle_gamma 157.62
loop_
_symmetry_equiv_pos_as_xyz
'x,y,z'
loop_
_atom_site_label
_atom_site_type_symbol
_atom_site_fract_x
_atom_site_fract_y
_atom_site_fract_z
Fe1 Fe 0.170 0.830 0.500
Fe2 Fe 0.830 0.170 0.000
Ni1 Ni 0.279 0.721 0.249
Ni2 Ni 0.721 0.279 0.749
Ir1 Ir 0.058 0.942 0.748
Ir2 Ir 0.171 0.829 0.999
Ir3 Ir 0.383 0.617 0.749
Ir4 Ir 0.494 0.506 0.998
Ir5 Ir 0.506 0.494 0.498
Ir6 Ir 0.617 0.383 0.249
Ir7 Ir 0.829 0.171 0.499
Ir8 Ir 0.942 0.058 0.248
```